Structure and theoretical powder X-ray diffraction pattern of HgPd9 (a structure optimized by DFT (PBE); CuKα).
Kinematic intensities with the Lorentz-polarization factor, no thermal factor.

Cell and atoms:
a b c (Å): 2.8344 2.8344 50.0503
angles (deg): 90.00 90.00 90.00
Fractional coordinates of all 20 atoms:
Hg1 0.2500 0.2500 0.1379
Hg2 0.7500 0.7500 0.8621
Pd1 0.2500 0.2500 0.2193
Pd2 0.2500 0.2500 0.2947
Pd3 0.2500 0.2500 0.3694
Pd4 0.2500 0.2500 0.4441
Pd5 0.2500 0.2500 0.5186
Pd6 0.2500 0.2500 0.5932
Pd7 0.2500 0.2500 0.6680
Pd8 0.2500 0.2500 0.7428
Pd9 0.2500 0.2500 0.8196
Pd10 0.7500 0.7500 0.1804
Pd11 0.7500 0.7500 0.2572
Pd12 0.7500 0.7500 0.3320
Pd13 0.7500 0.7500 0.4068
Pd14 0.7500 0.7500 0.4814
Pd15 0.7500 0.7500 0.5559
Pd16 0.7500 0.7500 0.6306
Pd17 0.7500 0.7500 0.7053
Pd18 0.7500 0.7500 0.7807

Principal peaks in the range 2θ = 5–70°, low angle first:
hkl 0 0 3, 2θ 5.3, rel. 66; hkl 0 0 4, 2θ 7.1, rel. 9; hkl 1 0 13, 2θ 39.5, rel. 100; hkl 1 0 14, 2θ 40.6, rel. 30; hkl 1 1 0, 2θ 45.2, rel. 46; hkl 0 0 26, 2θ 47.2, rel. 8; hkl 0 0 27, 2θ 49.1, rel. 9; hkl 2 0 0, 2θ 65.9, rel. 17; hkl 1 1 26, 2θ 67.5, rel. 11; hkl 1 1 27, 2θ 69.0, rel. 12

=====

Structure and theoretical powder X-ray diffraction pattern of HgPd15 (a structure optimized by DFT (PBE); CuKα).
Kinematic intensities with the Lorentz-polarization factor, no thermal factor.

Cell and atoms:
a b c (Å): 4.7567 34.6257 4.7563
angles (deg): 90.00 108.76 90.00
Fractional coordinates of all 32 atoms:
Hg1 0.0000 0.1868 0.2500
Hg2 0.0000 0.8132 0.7500
Pd1 0.0000 0.2328 0.7500
Pd2 0.0000 0.2749 0.2500
Pd3 0.0000 0.3158 0.7500
Pd4 0.0000 0.3566 0.2500
Pd5 0.0000 0.3977 0.7500
Pd6 0.0000 0.4386 0.2500
Pd7 0.0000 0.4796 0.7500
Pd8 0.0000 0.5204 0.2500
Pd9 0.0000 0.5614 0.7500
Pd10 0.0000 0.6023 0.2500
Pd11 0.0000 0.6434 0.7500
Pd12 0.0000 0.6842 0.2500
Pd13 0.0000 0.7251 0.7500
Pd14 0.0000 0.7672 0.2500
Pd15 0.5000 0.1936 0.7500
Pd16 0.5000 0.2328 0.2500
Pd17 0.5000 0.2749 0.7500
Pd18 0.5000 0.3158 0.2500
Pd19 0.5000 0.3566 0.7500
Pd20 0.5000 0.3977 0.2500
Pd21 0.5000 0.4386 0.7500
Pd22 0.5000 0.4796 0.2500
Pd23 0.5000 0.5204 0.7500
Pd24 0.5000 0.5614 0.2500
Pd25 0.5000 0.6023 0.7500
Pd26 0.5000 0.6434 0.2500
Pd27 0.5000 0.6842 0.7500
Pd28 0.5000 0.7251 0.2500
Pd29 0.5000 0.7672 0.7500
Pd30 0.5000 0.8064 0.2500

Principal peaks in the range 2θ = 5–70°, low angle first:
hkl 0 2 0, 2θ 5.1, rel. 100; hkl 1 12 -1, 2θ 38.9, rel. 37; hkl 2 0 0, 2θ 40.0, rel. 36; hkl 2 1 0, 2θ 40.1, rel. 11; hkl 1 13 -1, 2θ 41.2, rel. 9; hkl 1 12 1, 2θ 45.4, rel. 24; hkl 2 0 -2, 2θ 47.0, rel. 14; hkl 1 13 1, 2θ 47.3, rel. 7; hkl 3 12 -1, 2θ 67.4, rel. 14; hkl 2 0 2, 2θ 67.6, rel. 6

=====

Structure and theoretical powder X-ray diffraction pattern of Hg2Pd9 (a structure optimized by DFT (PBE); CuKα).
Kinematic intensities with the Lorentz-polarization factor, no thermal factor.

Cell and atoms:
a b c (Å): 2.8318 2.8318 34.6629
angles (deg): 90.00 90.00 120.00
Fractional coordinates of all 11 atoms:
Hg1 0.3333 0.6667 0.3297
Hg2 0.6667 0.3333 0.6703
Pd1 0.0000 0.0000 0.0000
Pd2 0.0000 0.0000 0.1928
Pd3 0.0000 0.0000 0.8072
Pd4 0.3333 0.6667 0.1285
Pd5 0.3333 0.6667 0.7420
Pd6 0.3333 0.6667 0.9358
Pd7 0.6667 0.3333 0.0642
Pd8 0.6667 0.3333 0.2580
Pd9 0.6667 0.3333 0.8715

Principal peaks in the range 2θ = 5–70°, low angle first:
hkl 0 0 2, 2θ 5.1, rel. 100; hkl 0 0 3, 2θ 7.7, rel. 23; hkl 0 0 5, 2θ 12.8, rel. 5; hkl 0 0 6, 2θ 15.3, rel. 6; hkl 1 0 5, 2θ 39.0, rel. 60; hkl 1 0 6, 2θ 39.9, rel. 6; hkl 0 1 7, 2θ 41.1, rel. 5; hkl 0 1 10, 2θ 45.3, rel. 28; hkl 0 1 11, 2θ 46.9, rel. 8; hkl 1 1 0, 2θ 66.0, rel. 17

=====

Structure and theoretical powder X-ray diffraction pattern of Hg2Pd3 (a structure optimized by DFT (PBE); CuKα).
Kinematic intensities with the Lorentz-polarization factor, no thermal factor.

Cell and atoms:
a b c (Å): 7.1238 7.1238 3.6735
angles (deg): 90.00 90.00 90.00
Fractional coordinates of all 10 atoms:
Hg1 0.1687 0.3313 0.0000
Hg2 0.3313 0.8313 0.0000
Hg3 0.6687 0.1687 0.0000
Hg4 0.8313 0.6687 0.0000
Pd1 0.0000 0.0000 0.5000
Pd2 0.1330 0.6330 0.5000
Pd3 0.3670 0.1330 0.5000
Pd4 0.5000 0.5000 0.5000
Pd5 0.6330 0.8670 0.5000
Pd6 0.8670 0.3670 0.5000

Principal peaks in the range 2θ = 5–70°, low angle first:
hkl 2 1 0, 2θ 28.0, rel. 9; hkl 2 0 1, 2θ 35.1, rel. 25; hkl 2 1 1, 2θ 37.4, rel. 100; hkl 3 1 0, 2θ 40.0, rel. 35; hkl 0 0 2, 2θ 49.6, rel. 14; hkl 4 1 0, 2θ 53.0, rel. 8; hkl 3 3 0, 2θ 54.7, rel. 8; hkl 4 1 1, 2θ 59.1, rel. 15; hkl 3 3 1, 2θ 60.6, rel. 8; hkl 3 1 2, 2θ 65.6, rel. 16